[1]
Diffraction record for PaFe4P4. The XRD peak list is calculated, not measured: it uses a structure optimized by DFT (PBE) and Cu Ka.
Neutral-atom scattering factors, no anomalous dispersion.

Largest 12 diffraction maxima, in order of rising 2θ, 2θ from 15° to 90°:
- 2θ 19.87, intensity 34
- 2θ 22.37, intensity 19
- 2θ 31.85, intensity 19
- 2θ 33.16, intensity 35
- 2θ 37.82, intensity 100
- 2θ 40.05, intensity 41
- 2θ 40.37, intensity 17
- 2θ 51.42, intensity 14
- 2θ 52.31, intensity 14
- 2θ 60.74, intensity 16
- 2θ 62.34, intensity 19
- 2θ 69.59, intensity 15

Atomic structure:
Unit cell a=5.6192 b=5.6192 c=7.3706 alpha=90.00 beta=90.00 gamma=90.00
Sites, in units of the cell vectors:
Pa: 0.2500 0.7500 0.2500
Pa: 0.7500 0.2500 0.7500
Fe: 0.0233 0.2500 0.1244
Fe: 0.2500 0.0233 0.6244
Fe: 0.2500 0.4767 0.6244
Fe: 0.4767 0.2500 0.1244
Fe: 0.5233 0.7500 0.8756
Fe: 0.7500 0.5233 0.3756
Fe: 0.7500 0.9767 0.3756
Fe: 0.9767 0.7500 0.8756
P: 0.0418 0.2500 0.4240
P: 0.2500 0.0418 0.9240
P: 0.2500 0.4582 0.9240
P: 0.4582 0.2500 0.4240
P: 0.5418 0.7500 0.5760
P: 0.7500 0.5418 0.0760
P: 0.7500 0.9582 0.0760
P: 0.9582 0.7500 0.5760

***

[2]
Diffraction record for Pa2Fe5P4. The XRD peak list is calculated, not measured: it uses a structure optimized by DFT (PBE) and Cu Ka.
Neutral-atom scattering factors, no anomalous dispersion.

Largest 12 diffraction maxima, in order of rising 2θ, 2θ from 15° to 90°:
- 2θ 20.73, intensity 52
- 2θ 28.60, intensity 91
- 2θ 34.13, intensity 87
- 2θ 34.94, intensity 42
- 2θ 39.70, intensity 100
- 2θ 40.29, intensity 89
- 2θ 44.53, intensity 55
- 2θ 57.85, intensity 29
- 2θ 61.20, intensity 26
- 2θ 65.33, intensity 26
- 2θ 71.84, intensity 30
- 2θ 72.04, intensity 26

Atomic structure:
Unit cell a=7.8825 b=6.9587 c=5.2417 alpha=79.12 beta=60.11 gamma=40.77
Sites, in units of the cell vectors:
Pa: 0.1331 0.1331 0.8669
Pa: 0.8669 0.8669 0.1331
Fe: 0.0000 0.0000 0.5000
Fe: 0.2500 0.2500 0.2500
Fe: 0.5000 0.5000 0.0000
Fe: 0.5000 0.5000 0.5000
Fe: 0.7500 0.7500 0.7500
P: 0.2129 0.5253 0.4747
P: 0.4747 0.7871 0.2129
P: 0.5253 0.2129 0.7871
P: 0.7871 0.4747 0.5253